Theoretical powder XRD pattern
Compound: Cs2TlV2O7
Radiation: Cu Kα, 1.54184 Å
Structure: a DFT-relaxed cell (PBE+U, Alexandria)
Neutral-atom scattering factors, no anomalous dispersion.

Structure:
Lattice parameters (Å, degrees): 6.3973 6.3973 22.6368 90.00 90.00 120.00
Space group R-3m (No. 166, hexagonal axes)
Inequivalent atoms, fractional coordinates:
Cs 0.0000 0.0000 0.2485 [6 per cell]
Tl 0.0000 0.0000 0.5000 [3 per cell]
V 0.0000 0.0000 0.0803 [6 per cell]
O 0.0000 0.0000 0.0000 [3 per cell]
O 0.0388 0.5194 0.7712 [18 per cell]

Top 6 peaks for 5° ≤ 2θ ≤ 70°, by angle:
h k l	Position (°2θ)	I_rel
0 0 3	11.7	41
1 0 4	22.5	87
0 1 5	25.4	35
1 1 0	27.9	100
0 2 4	36.1	44
2 1 4	46.2	30